Simulated XRD peak list
Compound: InGeCl3
Radiation: Cu Kα X-rays
Structure: a structure optimized by DFT (GGA-PBE)

Largest 8 diffraction maxima, in order of rising 2θ, 5 to 70 degrees two-theta:
- 2θ 15.69, rel. 37, (0 0 1)
- 2θ 21.76, rel. 34, (2 0 0)
- 2θ 22.51, rel. 100, (1 1 1)
- 2θ 23.68, rel. 25, (0 2 0)
- 2θ 28.53, rel. 29, (0 2 1)
- 2θ 32.38, rel. 50, (2 2 0)
- 2θ 36.12, rel. 27, (2 2 -1)
- 2θ 38.69, rel. 25, (3 1 1)

Structural model:
abc: 8.1681 7.5152 5.6477
angles: 90.00 90.30 90.00
Space group Cm (No. 8)
Unique sites:
In 0.0000 0.0000 0.0000 [2 per cell]
Ge 0.4234 0.0000 0.6330 [2 per cell]
Cl 0.1237 0.2610 0.6400 [4 per cell]
Cl 0.3758 0.0000 0.0537 [2 per cell]



Simulated XRD peak list
Compound: KGeCl3
Radiation: Cu Kα X-rays
Structure: a structure optimized by DFT (GGA-PBE)

Largest 8 diffraction maxima, in order of rising 2θ, 5 to 70 degrees two-theta:
- 2θ 16.58, rel. 96, (0 0 1)
- 2θ 23.34, rel. 54, (2 0 0)
- 2θ 23.71, rel. 49, (0 2 0)
- 2θ 29.07, rel. 27, (2 0 1)
- 2θ 33.47, rel. 100, (2 2 0)
- 2θ 33.60, rel. 49, (0 0 2)
- 2θ 47.73, rel. 47, (4 0 0)
- 2θ 48.56, rel. 31, (2 2 2)

Structural model:
abc: 7.6305 7.5186 5.3351
angles: 90.00 91.29 90.00
Space group Cm (No. 8)
Unique sites:
K 0.0000 0.0000 0.0000 [2 per cell]
Ge 0.4822 0.0000 0.5317 [2 per cell]
Cl 0.0043 0.5000 0.9914 [2 per cell]
Cl 0.2629 0.2353 0.5175 [4 per cell]



Simulated XRD peak list
Compound: KGeCl3
Radiation: Cu Kα X-rays
Structure: a structure optimized by DFT (GGA-PBE)

Largest 8 diffraction maxima, in order of rising 2θ, 5 to 70 degrees two-theta:
- 2θ 16.33, rel. 100, (0 1 2)
- 2θ 23.18, rel. 96, (1 0 4)
- 2θ 27.25, rel. 47, (1 1 3)
- 2θ 33.01, rel. 88, (0 2 4)
- 2θ 37.05, rel. 54, (1 1 6)
- 2θ 40.72, rel. 74, (3 0 0)
- 2θ 47.38, rel. 36, (2 0 8)
- 2θ 64.20, rel. 32, (3 2 4)

Structural model:
abc: 7.6773 7.6773 18.7885
angles: 90.00 90.00 120.00
Space group R3c (No. 161, hexagonal axes)
Unique sites:
K 0.0000 0.0000 0.0000 [6 per cell]
Ge 0.0000 0.0000 0.2850 [6 per cell]
Cl 0.0436 0.4358 0.0209 [18 per cell]



Simulated XRD peak list
Compound: GePClO2
Radiation: Cu Kα X-rays
Structure: a structure optimized by DFT (GGA-PBE)

Largest 8 diffraction maxima, in order of rising 2θ, 5 to 70 degrees two-theta:
- 2θ 13.50, rel. 20, (1 0 1)
- 2θ 18.64, rel. 20, (0 1 1)
- 2θ 20.88, rel. 32, (2 0 0)
- 2θ 22.62, rel. 24, (2 0 1)
- 2θ 26.17, rel. 100, (1 1 2)
- 2θ 27.19, rel. 19, (2 0 2)
- 2θ 32.72, rel. 27, (1 1 3)
- 2θ 44.76, rel. 19, (3 1 3)

Structural model:
abc: 8.5074 5.3672 10.2995
angles: 90.00 90.00 90.00
Space group Pnma (No. 62)
Unique sites:
Ge 0.0775 0.2500 0.1534 [4 per cell]
P 0.0425 0.7500 0.3599 [4 per cell]
Cl 0.1625 0.7500 0.9571 [4 per cell]
O 0.0108 0.5132 0.2802 [8 per cell]



Simulated XRD peak list
Compound: Ge19P4Cl4
Radiation: Cu Kα X-rays
Structure: a structure optimized by DFT (GGA-PBE)

Largest 8 diffraction maxima, in order of rising 2θ, 5 to 70 degrees two-theta:
- 2θ 18.87, rel. 46, (2 1 0)
- 2θ 20.69, rel. 32, (2 1 1)
- 2θ 29.43, rel. 35, (2 2 2)
- 2θ 30.66, rel. 42, (3 2 0)
- 2θ 31.84, rel. 100, (3 2 1)
- 2θ 35.19, rel. 36, (4 1 0)
- 2θ 50.62, rel. 70, (5 3 0)
- 2θ 53.74, rel. 47, (5 3 2)

Structural model:
abc: 10.5147 10.5147 10.5147
angles: 90.00 90.00 90.00
Space group P-43n (No. 218)
Unique sites:
Ge 0.0000 0.2500 0.5000 [6 per cell]
Ge 0.0020 0.1182 0.3072 [24 per cell]
Ge 0.1847 0.1847 0.8153 [8 per cell]
P 0.1844 0.1844 0.1844 [8 per cell]
Cl 0.0000 0.0000 0.0000 [2 per cell]
Cl 0.0000 0.5000 0.2500 [6 per cell]



Simulated XRD peak list
Compound: TlGeCl3
Radiation: Cu Kα X-rays
Structure: a structure optimized by DFT (GGA-PBE)

Largest 8 diffraction maxima, in order of rising 2θ, 5 to 70 degrees two-theta:
- 2θ 16.65, rel. 28, (0 0 1)
- 2θ 23.46, rel. 98, (2 0 0)
- 2θ 23.79, rel. 95, (0 2 0)
- 2θ 29.18, rel. 55, (0 2 1)
- 2θ 33.66, rel. 100, (2 2 0)
- 2θ 41.64, rel. 45, (3 1 1)
- 2θ 47.99, rel. 34, (4 0 0)
- 2θ 48.70, rel. 33, (0 4 0)

Structural model:
abc: 7.5900 7.4798 5.3219
angles: 90.00 91.09 90.00
Space group Cm (No. 8)
Unique sites:
Tl 0.0000 0.0000 0.0000 [2 per cell]
Ge 0.4914 0.0000 0.5416 [2 per cell]
Cl 0.0140 0.5000 0.0034 [2 per cell]
Cl 0.2694 0.2385 0.5321 [4 per cell]



Simulated XRD peak list
Compound: TlGeCl3
Radiation: Cu Kα X-rays
Structure: a structure optimized by DFT (GGA-PBE)

Largest 8 diffraction maxima, in order of rising 2θ, 5 to 70 degrees two-theta:
- 2θ 16.71, rel. 24, (0 1 1)
- 2θ 20.59, rel. 100, (1 1 -1)
- 2θ 22.64, rel. 20, (0 0 2)
- 2θ 24.75, rel. 27, (0 2 0)
- 2θ 25.84, rel. 54, (0 1 2)
- 2θ 31.14, rel. 36, (2 0 -1)
- 2θ 33.97, rel. 40, (1 2 1)
- 2θ 34.08, rel. 27, (1 2 -2)

Structural model:
abc: 5.7435 7.1957 8.3471
angles: 90.00 109.75 90.00
Space group P2_1/m (No. 11)
Unique sites:
Tl 0.1591 0.2500 0.3113 [2 per cell]
Ge 0.4729 0.2500 0.8748 [2 per cell]
Cl 0.1141 0.7500 0.1204 [2 per cell]
Cl 0.3398 0.0054 0.6743 [4 per cell]



Simulated XRD peak list
Compound: K2HgHCl4
Radiation: Cu Kα X-rays
Structure: a structure optimized by DFT (GGA-PBE)

Largest 8 diffraction maxima, in order of rising 2θ, 5 to 70 degrees two-theta:
- 2θ 13.46, rel. 100, (1 1 0)
- 2θ 14.76, rel. 22, (0 2 0)
- 2θ 23.73, rel. 81, (1 1 1)
- 2θ 24.96, rel. 31, (1 3 0)
- 2θ 30.00, rel. 24, (2 0 1)
- 2θ 33.59, rel. 43, (2 2 1)
- 2θ 44.15, rel. 26, (1 5 1)
- 2θ 45.94, rel. 22, (3 3 1)

Structural model:
abc: 7.8615 12.0072 4.5632
angles: 90.00 90.00 90.00
Space group Pbam (No. 55)
Unique sites:
K 0.0941 0.1809 0.0000 [4 per cell]
Hg 0.0000 0.5000 0.5000 [2 per cell]
H 0.0000 0.0000 0.5000 [2 per cell]
Cl 0.1203 0.6905 0.5000 [4 per cell]
Cl 0.2278 0.4409 0.0000 [4 per cell]



Simulated XRD peak list
Compound: NaHgH2Cl3
Radiation: Cu Kα X-rays
Structure: a structure optimized by DFT (GGA-PBE)

Largest 8 diffraction maxima, in order of rising 2θ, 5 to 70 degrees two-theta:
- 2θ 8.98, rel. 23, (0 0 2)
- 2θ 12.45, rel. 100, (1 0 1)
- 2θ 21.12, rel. 18, (0 1 1)
- 2θ 25.43, rel. 60, (1 1 2)
- 2θ 29.96, rel. 18, (1 1 4)
- 2θ 34.27, rel. 20, (2 1 3)
- 2θ 41.96, rel. 19, (0 2 0)
- 2θ 43.98, rel. 23, (1 1 8)

Structural model:
abc: 7.6207 4.3054 19.6998
angles: 90.00 90.00 90.00
Space group Pnma (No. 62)
Unique sites:
Na 0.0059 0.2500 0.1770 [4 per cell]
Hg 0.0594 0.7500 0.5871 [4 per cell]
H 0.0472 0.7500 0.9509 [4 per cell]
H 0.1614 0.2500 0.8049 [4 per cell]
Cl 0.1256 0.2500 0.3134 [4 per cell]
Cl 0.1905 0.7500 0.4764 [4 per cell]
Cl 0.2119 0.7500 0.1395 [4 per cell]